(1)
The following is a calculated X-ray powder pattern of Rb4SbRhCl12. It was derived from a PBE-relaxed structure, using Cu Kα, 1.54184 Å.
Lines closer than 0.1° are merged.

Main lines, in order of rising 2θ (2θ from 10° to 90°):
Position (°2θ)	d (Å)	I_rel
14.83	5.974	100.0
24.25	3.670	60.6
24.49	3.634	36.2
28.75	3.105	24.0
29.91	2.987	59.9
34.21	2.621	27.7
34.91	2.570	75.4
42.96	2.105	25.8
49.68	1.835	34.2
50.21	1.817	29.9

Cell and atoms:
Unit cell a=7.2690 b=7.2690 c=10.4857 alpha=90.00 beta=90.00 gamma=90.00
Sites, in units of the cell vectors:
Rb 0.0000 0.5000 0.2101
Rb 0.0000 0.5000 0.7899
Rb 0.5000 0.0000 0.2101
Rb 0.5000 0.0000 0.7899
Sb 0.0000 0.0000 0.5000
Rh 0.5000 0.5000 0.0000
Cl 0.0000 0.0000 0.2671
Cl 0.0000 0.0000 0.7329
Cl 0.2353 0.2353 0.5000
Cl 0.2353 0.7647 0.5000
Cl 0.2690 0.2690 0.0000
Cl 0.2690 0.7310 0.0000
Cl 0.5000 0.5000 0.2269
Cl 0.5000 0.5000 0.7731
Cl 0.7310 0.2690 0.0000
Cl 0.7310 0.7310 0.0000
Cl 0.7647 0.2353 0.5000
Cl 0.7647 0.7647 0.5000

=====

(2)
The following is a calculated X-ray powder pattern of InP2H9N2O8. It was derived from a PBE-relaxed structure, using Cu Kα, 1.54184 Å.
Lines closer than 0.1° are merged.

Main lines, in order of rising 2θ (2θ from 10° to 90°):
Position (°2θ)	d (Å)	I_rel
14.05	6.305	100.0
19.93	4.456	37.0
26.44	3.371	55.5
28.32	3.151	47.6
29.52	3.026	27.9
30.60	2.922	15.9
33.33	2.688	20.2
40.47	2.229	22.8
47.87	1.900	27.9
54.46	1.685	13.3

Cell and atoms:
Unit cell a=10.1588 b=6.7480 c=10.0574 alpha=71.31 beta=38.99 gamma=69.69
Sites, in units of the cell vectors:
In 0.0000 0.0000 0.0000
In 0.2500 0.2500 0.2500
P 0.1402 0.8110 0.2638
P 0.4651 0.9862 0.4390
P 0.8110 0.1402 0.7849
P 0.9862 0.4651 0.1098
H 0.0759 0.5934 0.6068
H 0.0915 0.4826 0.7732
H 0.2530 0.3787 0.5439
H 0.2808 0.6214 0.5397
H 0.3787 0.2530 0.8244
H 0.4256 0.7061 0.8713
H 0.4768 0.5973 0.1585
H 0.4826 0.0915 0.6527
H 0.5261 0.6432 0.6566
H 0.5934 0.0759 0.7239
H 0.5973 0.4768 0.7674
H 0.6214 0.2808 0.5581
H 0.6271 0.6271 0.3729
H 0.6432 0.5261 0.1741
H 0.6919 0.7103 0.6286
H 0.7061 0.4256 0.9970
H 0.7103 0.6919 0.9692
H 0.8771 0.8771 0.6229
N 0.1763 0.5194 0.6151
N 0.5194 0.1763 0.6892
N 0.5608 0.6349 0.7306
N 0.6349 0.5608 0.0737
O 0.0017 0.3211 0.0025
O 0.0213 0.6823 0.9815
O 0.1526 0.8753 0.0937
O 0.1563 0.3716 0.0974
O 0.2475 0.5753 0.2483
O 0.2685 0.9351 0.2287
O 0.3211 0.0017 0.6747
O 0.3716 0.1563 0.3747
O 0.4849 0.7567 0.4116
O 0.5753 0.2475 0.9289
O 0.6823 0.0213 0.3149
O 0.7567 0.4849 0.3468
O 0.8384 0.9032 0.7651
O 0.8753 0.1526 0.8784
O 0.9032 0.8384 0.4933
O 0.9351 0.2685 0.5677

=====

(3)
The following is a calculated X-ray powder pattern of SbHSF10. It was derived from a PBE-relaxed structure, using Cu Kα, 1.54184 Å.
Lines closer than 0.1° are merged.

Main lines, in order of rising 2θ (2θ from 10° to 90°):
Position (°2θ)	d (Å)	I_rel
13.79	6.419	34.8
16.65	5.325	29.5
17.69	5.013	48.5
21.07	4.216	72.8
21.68	4.098	100.0
22.32	3.982	64.8
22.89	3.885	61.0
29.67	3.011	20.8
40.70	2.217	18.0
44.68	2.028	18.4

Cell and atoms:
Unit cell a=5.7400 b=10.6495 c=12.9711 alpha=90.00 beta=98.19 gamma=90.00
Sites, in units of the cell vectors:
Sb 0.1235 0.2446 0.4670
Sb 0.1235 0.2554 0.9670
Sb 0.8765 0.7446 0.0330
Sb 0.8765 0.7554 0.5330
H 0.2590 0.6085 0.3806
H 0.2590 0.8915 0.8806
H 0.7410 0.1085 0.1194
H 0.7410 0.3915 0.6194
S 0.4544 0.5268 0.7931
S 0.4544 0.9732 0.2931
S 0.5456 0.0268 0.7069
S 0.5456 0.4732 0.2069
F 0.0334 0.1846 0.8324
F 0.0334 0.3154 0.3324
F 0.1003 0.6134 0.0643
F 0.1003 0.8866 0.5643
F 0.1109 0.6560 0.4764
F 0.1109 0.8440 0.9764
F 0.2244 0.1723 0.6030
F 0.2244 0.3277 0.1030
F 0.2557 0.0441 0.2239
F 0.2557 0.4559 0.7239
F 0.2930 0.5985 0.3106
F 0.2930 0.9015 0.8106
F 0.2959 0.6028 0.8579
F 0.2959 0.8972 0.3579
F 0.3481 0.1253 0.9996
F 0.3481 0.3747 0.4996
F 0.3619 0.1421 0.4149
F 0.3619 0.3579 0.9149
F 0.4874 0.6316 0.7143
F 0.4874 0.8684 0.2143
F 0.5126 0.1316 0.7857
F 0.5126 0.3684 0.2857
F 0.6381 0.6421 0.0851
F 0.6381 0.8579 0.5851
F 0.6519 0.6253 0.5004
F 0.6519 0.8747 0.0004
F 0.7041 0.1028 0.6421
F 0.7041 0.3972 0.1421
F 0.7070 0.0985 0.1894
F 0.7070 0.4015 0.6894
F 0.7443 0.5441 0.2761
F 0.7443 0.9559 0.7761
F 0.7756 0.6723 0.8970
F 0.7756 0.8277 0.3970
F 0.8891 0.1560 0.0236
F 0.8891 0.3440 0.5236
F 0.8997 0.1134 0.4357
F 0.8997 0.3866 0.9357
F 0.9666 0.6846 0.6676
F 0.9666 0.8154 0.1676

=====

(4)
The following is a calculated X-ray powder pattern of Pr5Si2Ge. It was derived from a PBE-relaxed structure, using Cu Kα, 1.54184 Å.
Lines closer than 0.1° are merged.

Main lines, in order of rising 2θ (2θ from 10° to 90°):
Position (°2θ)	d (Å)	I_rel
26.00	3.427	43.1
29.99	2.979	27.5
31.69	2.823	100.0
32.04	2.793	25.5
34.11	2.629	65.9
35.95	2.498	50.8
47.91	1.899	17.8
51.51	1.774	28.9
52.32	1.749	19.4
55.85	1.646	27.2

Cell and atoms:
Unit cell a=8.9901 b=8.9901 c=8.9901 alpha=127.87 beta=127.87 gamma=76.83
Sites, in units of the cell vectors:
Pr 0.0000 0.0000 0.0000
Pr 0.0308 0.5308 0.8521
Pr 0.1787 0.0308 0.5000
Pr 0.3213 0.8213 0.8521
Pr 0.4692 0.3213 0.5000
Pr 0.5000 0.5000 0.0000
Pr 0.5308 0.6787 0.5000
Pr 0.6787 0.1787 0.1479
Pr 0.8213 0.9692 0.5000
Pr 0.9692 0.4692 0.1479
Si 0.1148 0.3852 0.5000
Si 0.3852 0.8852 0.2704
Si 0.6148 0.1148 0.7296
Si 0.8852 0.6148 0.5000
Ge 0.2500 0.2500 0.0000
Ge 0.7500 0.7500 0.0000

=====

(5)
The following is a calculated X-ray powder pattern of Tm3Fe2Si3. It was derived from a PBE-relaxed structure, using Cu Kα, 1.54184 Å.
Lines closer than 0.1° are merged.

Main lines, in order of rising 2θ (2θ from 10° to 90°):
Position (°2θ)	d (Å)	I_rel
24.50	3.634	34.5
26.27	3.393	48.5
27.09	3.291	23.2
34.74	2.583	74.9
35.77	2.510	100.0
37.67	2.388	25.0
39.72	2.269	38.9
40.19	2.244	40.7
44.73	2.026	34.8
59.58	1.552	22.9

Cell and atoms:
Unit cell a=5.5727 b=5.5727 c=13.4461 alpha=90.00 beta=90.00 gamma=137.37
Sites, in units of the cell vectors:
Tm 0.0790 0.9210 0.6124
Tm 0.0790 0.9210 0.8876
Tm 0.3625 0.6375 0.7500
Tm 0.6375 0.3625 0.2500
Tm 0.9210 0.0790 0.1124
Tm 0.9210 0.0790 0.3876
Fe 0.2143 0.7857 0.0810
Fe 0.2143 0.7857 0.4190
Fe 0.7857 0.2143 0.5810
Fe 0.7857 0.2143 0.9190
Si 0.3275 0.6725 0.2500
Si 0.3761 0.6239 0.5396
Si 0.3761 0.6239 0.9604
Si 0.6239 0.3761 0.0396
Si 0.6239 0.3761 0.4604
Si 0.6725 0.3275 0.7500

=====

(6)
The following is a calculated X-ray powder pattern of Er6I7. It was derived from a PBE-relaxed structure, using Cu Kα, 1.54184 Å.
Lines closer than 0.1° are merged.

Main lines, in order of rising 2θ (2θ from 10° to 90°):
Position (°2θ)	d (Å)	I_rel
27.24	3.274	16.4
29.91	2.988	28.8
30.15	2.964	17.6
30.57	2.924	14.9
30.67	2.915	100.0
32.49	2.756	28.9
41.84	2.159	16.1
42.39	2.132	19.1
44.34	2.043	18.3
45.94	1.975	18.2

Cell and atoms:
Unit cell a=11.2150 b=11.2150 c=12.4717 alpha=121.76 beta=121.76 gamma=20.29
Sites, in units of the cell vectors:
Er 0.1323 0.1323 0.0532
Er 0.2366 0.2366 0.6941
Er 0.3123 0.3123 0.1241
Er 0.6877 0.6877 0.8759
Er 0.7634 0.7634 0.3059
Er 0.8677 0.8677 0.9468
I 0.0535 0.0535 0.7702
I 0.1655 0.1655 0.3345
I 0.3867 0.3867 0.4320
I 0.5000 0.5000 0.0000
I 0.6133 0.6133 0.5680
I 0.8345 0.8345 0.6655
I 0.9465 0.9465 0.2298

=====

(7)
The following is a calculated X-ray powder pattern of ZrBeO3. It was derived from a PBE-relaxed structure, using Cu Kα, 1.54184 Å.
Lines closer than 0.1° are merged.

Main lines, in order of rising 2θ (2θ from 10° to 90°):
Position (°2θ)	d (Å)	I_rel
21.59	4.116	100.0
30.72	2.911	50.7
44.00	2.058	28.8
49.52	1.841	39.8
54.61	1.680	20.3
63.98	1.455	16.4
68.37	1.372	17.4
72.64	1.302	8.8
84.95	1.142	7.4
88.98	1.100	10.9

Cell and atoms:
Unit cell a=4.1162 b=4.1162 c=4.1162 alpha=90.00 beta=90.00 gamma=90.00
Sites, in units of the cell vectors:
Zr 0.0000 0.0000 0.0000
Be 0.5000 0.5000 0.5000
O 0.0000 0.0000 0.5000
O 0.0000 0.5000 0.0000
O 0.5000 0.0000 0.0000

=====

(8)
The following is a calculated X-ray powder pattern of AlCuO3. It was derived from a PBE-relaxed structure, using Cu Kα, 1.54184 Å.
Lines closer than 0.1° are merged.

Main lines, in order of rising 2θ (2θ from 10° to 90°):
Position (°2θ)	d (Å)	I_rel
15.78	5.615	27.8
31.88	2.807	37.3
33.73	2.657	100.0
36.54	2.459	18.9
40.86	2.208	11.5
52.74	1.736	28.9
58.44	1.579	33.5
59.88	1.545	12.3
68.13	1.376	21.7
69.21	1.358	9.9

Cell and atoms:
Unit cell a=3.1582 b=3.1582 c=11.2295 alpha=90.00 beta=90.00 gamma=120.00
Sites, in units of the cell vectors:
Al 0.0000 0.0000 0.0000
Al 0.0000 0.0000 0.5000
Cu 0.3333 0.6667 0.2500
Cu 0.6667 0.3333 0.7500
O 0.0000 0.0000 0.2500
O 0.0000 0.0000 0.7500
O 0.3333 0.6667 0.0764
O 0.3333 0.6667 0.4236
O 0.6667 0.3333 0.5764
O 0.6667 0.3333 0.9236

=====

(9)
The following is a calculated X-ray powder pattern of NaMg14Ni. It was derived from a PBE-relaxed structure, using Cu Kα, 1.54184 Å.
Lines closer than 0.1° are merged.

Main lines, in order of rising 2θ (2θ from 10° to 90°):
Position (°2θ)	d (Å)	I_rel
15.93	5.564	5.5
18.30	4.847	8.5
32.18	2.782	25.8
36.40	2.469	22.2
37.10	2.424	100.0
49.36	1.846	14.0
57.37	1.606	17.7
65.95	1.416	14.6
69.87	1.346	17.4
70.32	1.339	13.5

Cell and atoms:
Unit cell a=6.4242 b=6.4242 c=9.8742 alpha=90.00 beta=90.00 gamma=120.00
Sites, in units of the cell vectors:
Na 0.0000 0.0000 0.0000
Mg 0.0083 0.5042 0.0000
Mg 0.1604 0.3209 0.2683
Mg 0.1604 0.3209 0.7317
Mg 0.1604 0.8396 0.2683
Mg 0.1604 0.8396 0.7317
Mg 0.4958 0.5042 0.0000
Mg 0.4958 0.9917 0.0000
Mg 0.5045 0.0090 0.5000
Mg 0.5045 0.4955 0.5000
Mg 0.6667 0.3333 0.2447
Mg 0.6667 0.3333 0.7553
Mg 0.6791 0.8396 0.2683
Mg 0.6791 0.8396 0.7317
Mg 0.9910 0.4955 0.5000
Ni 0.0000 0.0000 0.5000

=====

(10)
The following is a calculated X-ray powder pattern of TbAl3Ni2. It was derived from a PBE-relaxed structure, using Cu Kα, 1.54184 Å.
Lines closer than 0.1° are merged.

Main lines, in order of rising 2θ (2θ from 10° to 90°):
Position (°2θ)	d (Å)	I_rel
19.60	4.530	36.5
24.69	3.606	59.8
29.54	3.024	24.3
31.72	2.821	22.7
34.29	2.615	30.4
37.56	2.395	100.0
39.80	2.265	72.5
41.05	2.199	40.3
44.63	2.030	30.3
61.33	1.511	46.4

Cell and atoms:
Unit cell a=9.0594 b=9.0594 c=4.0605 alpha=90.00 beta=90.00 gamma=120.00
Sites, in units of the cell vectors:
Tb 0.0000 0.0000 0.0000
Tb 0.3333 0.6667 0.5000
Tb 0.6667 0.3333 0.5000
Al 0.0000 0.2960 0.5000
Al 0.0000 0.5000 0.0000
Al 0.0000 0.7040 0.5000
Al 0.2960 0.0000 0.5000
Al 0.2960 0.2960 0.5000
Al 0.5000 0.0000 0.0000
Al 0.5000 0.5000 0.0000
Al 0.7040 0.0000 0.5000
Al 0.7040 0.7040 0.5000
Ni 0.1817 0.3634 0.0000
Ni 0.1817 0.8183 0.0000
Ni 0.3634 0.1817 0.0000
Ni 0.6366 0.8183 0.0000
Ni 0.8183 0.1817 0.0000
Ni 0.8183 0.6366 0.0000